[1]
This entry pairs a crystal structure of Fe2NiC with its simulated powder XRD pattern. Radiation: copper Kα. Structure: a structure optimized by DFT (GGA-PBE).
Kinematic intensities with the Lorentz-polarization factor, no thermal factor.

Structural model:
Lattice parameters (Å, degrees): 5.076 6.760 4.398 90.00 90.00 90.00
Positions (direct):
Fe  0.179  0.070  0.172
Fe  0.179  0.430  0.172
Fe  0.321  0.570  0.672
Fe  0.321  0.930  0.672
Fe  0.679  0.070  0.328
Fe  0.679  0.430  0.328
Fe  0.821  0.570  0.828
Fe  0.821  0.930  0.828
Ni  0.040  0.250  0.661
Ni  0.460  0.750  0.161
Ni  0.540  0.250  0.839
Ni  0.960  0.750  0.339
C  0.119  0.750  0.938
C  0.381  0.250  0.438
C  0.619  0.750  0.562
C  0.881  0.250  0.062

Largest 8 diffraction maxima, in order of falling intensity, 5 to 70 degrees two-theta:
| Position (°2θ) | I/Imax |
| --- | --- |
| 45.21 | 100.0 |
| 43.28 | 56.7 |
| 44.65 | 49.5 |
| 46.99 | 48.8 |
| 49.46 | 44.8 |
| 44.92 | 42.9 |
| 41.05 | 36.4 |
| 48.83 | 26.9 |



[2]
This entry pairs a crystal structure of BPd5 with its simulated powder XRD pattern. Radiation: copper Kα. Structure: a structure optimized by DFT (GGA-PBE).
Kinematic intensities with the Lorentz-polarization factor, no thermal factor.

Structural model:
Lattice parameters (Å, degrees): 6.418 8.218 9.077 90.00 134.52 90.00
Positions (direct):
B  0.209  0.130  0.156
B  0.209  0.370  0.656
B  0.791  0.630  0.344
B  0.791  0.870  0.844
Pd  0.003  0.625  0.247
Pd  0.003  0.875  0.747
Pd  0.198  0.119  0.650
Pd  0.198  0.381  0.150
Pd  0.207  0.629  0.655
Pd  0.207  0.871  0.155
Pd  0.391  0.625  0.044
Pd  0.391  0.875  0.544
Pd  0.405  0.125  0.048
Pd  0.405  0.375  0.548
Pd  0.595  0.625  0.452
Pd  0.595  0.875  0.952
Pd  0.609  0.125  0.456
Pd  0.609  0.375  0.956
Pd  0.793  0.129  0.845
Pd  0.793  0.371  0.345
Pd  0.802  0.619  0.850
Pd  0.802  0.881  0.350
Pd  0.997  0.125  0.253
Pd  0.997  0.375  0.753

Largest 6 diffraction maxima, in order of falling intensity, 5 to 70 degrees two-theta:
| Position (°2θ) | I/Imax |
| --- | --- |
| 38.14 | 100.0 |
| 44.13 | 34.7 |
| 44.73 | 16.7 |
| 64.61 | 16.1 |
| 64.18 | 11.0 |
| 64.74 | 5.4 |



[3]
This entry pairs a crystal structure of CeRuRh with its simulated powder XRD pattern. Radiation: copper Kα. Structure: a structure optimized by DFT (GGA-PBE).
Kinematic intensities with the Lorentz-polarization factor, no thermal factor.

Structural model:
Lattice parameters (Å, degrees): 5.433 5.433 5.433 124.08 120.40 86.19
Positions (direct):
Ce  0.374  0.124  0.250
Ce  0.626  0.876  0.750
Ru  0.000  0.000  0.500
Ru  0.000  0.500  0.000
Rh  0.000  0.500  0.500
Rh  0.500  0.500  0.000

Largest 8 diffraction maxima, in order of falling intensity, 5 to 70 degrees two-theta:
| Position (°2θ) | I/Imax |
| --- | --- |
| 39.44 | 100.0 |
| 40.78 | 87.5 |
| 33.08 | 74.9 |
| 37.88 | 55.3 |
| 69.41 | 53.2 |
| 38.35 | 52.7 |
| 40.41 | 47.5 |
| 42.16 | 43.7 |



[4]
This entry pairs a crystal structure of BaZr4P6O24 with its simulated powder XRD pattern. Radiation: copper Kα. Structure: a structure optimized by DFT (GGA-PBE).
Kinematic intensities with the Lorentz-polarization factor, no thermal factor.

Structural model:
Lattice parameters (Å, degrees): 9.535 9.535 9.535 55.32 55.32 55.32
Positions (direct):
Ba  0.000  0.000  0.000
Zr  0.151  0.151  0.151
Zr  0.354  0.354  0.354
Zr  0.646  0.646  0.646
Zr  0.849  0.849  0.849
P  0.032  0.753  0.460
P  0.247  0.540  0.968
P  0.460  0.032  0.753
P  0.540  0.968  0.247
P  0.753  0.460  0.032
P  0.968  0.247  0.540
O  0.001  0.782  0.620
O  0.084  0.913  0.280
O  0.087  0.720  0.916
O  0.143  0.243  0.520
O  0.189  0.570  0.448
O  0.218  0.380  0.999
O  0.243  0.520  0.143
O  0.280  0.084  0.913
O  0.380  0.999  0.218
O  0.430  0.552  0.811
O  0.448  0.189  0.570
O  0.480  0.857  0.757
O  0.520  0.143  0.243
O  0.552  0.811  0.430
O  0.570  0.448  0.189
O  0.620  0.001  0.782
O  0.720  0.916  0.087
O  0.757  0.480  0.857
O  0.782  0.620  0.001
O  0.811  0.430  0.552
O  0.857  0.757  0.480
O  0.913  0.280  0.084
O  0.916  0.087  0.720
O  0.999  0.218  0.380

Largest 8 diffraction maxima, in order of falling intensity, 5 to 70 degrees two-theta:
| Position (°2θ) | I/Imax |
| --- | --- |
| 30.01 | 100.0 |
| 20.06 | 96.1 |
| 22.93 | 69.6 |
| 35.11 | 34.8 |
| 46.84 | 32.2 |
| 12.11 | 31.5 |
| 54.87 | 26.0 |
| 18.71 | 23.5 |



[5]
This entry pairs a crystal structure of Ca2AlPbF9 with its simulated powder XRD pattern. Radiation: copper Kα. Structure: a structure optimized by DFT (GGA-PBE).
Kinematic intensities with the Lorentz-polarization factor, no thermal factor.

Structural model:
Lattice parameters (Å, degrees): 5.443 5.446 12.372 91.46 101.05 91.72
Positions (direct):
Ca  0.042  0.258  0.114
Ca  0.449  0.234  0.887
Ca  0.551  0.766  0.113
Ca  0.958  0.742  0.886
Al  0.204  0.707  0.319
Al  0.796  0.293  0.681
Pb  0.272  0.782  0.605
Pb  0.728  0.218  0.395
F  0.042  0.906  0.401
F  0.084  0.390  0.779
F  0.151  0.451  0.404
F  0.250  0.012  0.006
F  0.252  0.508  0.001
F  0.257  0.886  0.792
F  0.258  0.951  0.225
F  0.371  0.500  0.235
F  0.500  0.204  0.592
F  0.500  0.796  0.408
F  0.629  0.500  0.765
F  0.742  0.049  0.775
F  0.743  0.114  0.208
F  0.748  0.492  0.999
F  0.750  0.988  0.994
F  0.849  0.549  0.596
F  0.916  0.610  0.221
F  0.958  0.094  0.599

Largest 8 diffraction maxima, in order of falling intensity, 5 to 70 degrees two-theta:
| Position (°2θ) | I/Imax |
| --- | --- |
| 7.28 | 100.0 |
| 24.91 | 71.5 |
| 23.75 | 64.0 |
| 22.92 | 46.5 |
| 25.95 | 37.3 |
| 45.44 | 34.1 |
| 32.93 | 31.1 |
| 22.29 | 27.4 |



[6]
This entry pairs a crystal structure of Sr2CaI6 with its simulated powder XRD pattern. Radiation: copper Kα. Structure: a structure optimized by DFT (GGA-PBE).
Kinematic intensities with the Lorentz-polarization factor, no thermal factor.

Structural model:
Lattice parameters (Å, degrees): 13.882 13.882 7.485 90.00 90.00 120.00
Positions (direct):
Sr  0.000  0.310  0.000
Sr  0.000  0.643  0.500
Sr  0.310  0.000  0.000
Sr  0.357  0.357  0.500
Sr  0.643  0.000  0.500
Sr  0.690  0.690  0.000
Ca  0.000  0.000  0.500
Ca  0.333  0.667  0.996
Ca  0.667  0.333  0.004
I  0.090  0.875  0.262
I  0.122  0.540  0.242
I  0.125  0.215  0.262
I  0.215  0.125  0.738
I  0.225  0.453  0.753
I  0.228  0.775  0.753
I  0.419  0.878  0.242
I  0.453  0.225  0.247
I  0.460  0.581  0.242
I  0.540  0.122  0.758
I  0.547  0.772  0.753
I  0.581  0.460  0.758
I  0.772  0.547  0.247
I  0.775  0.228  0.247
I  0.785  0.910  0.262
I  0.875  0.090  0.738
I  0.878  0.419  0.758
I  0.910  0.785  0.738

Largest 8 diffraction maxima, in order of falling intensity, 5 to 70 degrees two-theta:
| Position (°2θ) | I/Imax |
| --- | --- |
| 25.21 | 100.0 |
| 32.74 | 41.8 |
| 38.93 | 29.5 |
| 42.69 | 23.5 |
| 46.94 | 15.0 |
| 17.42 | 14.5 |
| 23.77 | 13.7 |
| 63.99 | 12.9 |



[7]
This entry pairs a crystal structure of Li5CuH2O4 with its simulated powder XRD pattern. Radiation: copper Kα. Structure: a structure optimized by DFT (GGA-PBE).
Kinematic intensities with the Lorentz-polarization factor, no thermal factor.

Structural model:
Lattice parameters (Å, degrees): 5.509 7.473 10.793 90.00 90.00 90.00
Positions (direct):
Li  0.047  0.250  0.047
Li  0.053  0.750  0.726
Li  0.066  0.750  0.217
Li  0.222  0.506  0.846
Li  0.222  0.994  0.846
Li  0.278  0.006  0.346
Li  0.278  0.494  0.346
Li  0.434  0.250  0.717
Li  0.447  0.250  0.226
Li  0.453  0.750  0.547
Li  0.547  0.250  0.453
Li  0.553  0.750  0.774
Li  0.566  0.750  0.283
Li  0.722  0.506  0.654
Li  0.722  0.994  0.654
Li  0.778  0.006  0.154
Li  0.778  0.494  0.154
Li  0.934  0.250  0.783
Li  0.947  0.250  0.274
Li  0.953  0.750  0.953
Cu  0.003  0.750  0.476
Cu  0.497  0.250  0.976
Cu  0.503  0.750  0.024
Cu  0.997  0.250  0.524
H  0.248  0.512  0.110
H  0.248  0.988  0.110
H  0.252  0.012  0.610
H  0.252  0.488  0.610
H  0.748  0.512  0.390
H  0.748  0.988  0.390
H  0.752  0.012  0.890
H  0.752  0.488  0.890
O  0.145  0.043  0.174
O  0.145  0.457  0.174
O  0.217  0.250  0.401
O  0.237  0.250  0.872
O  0.263  0.750  0.372
O  0.283  0.750  0.901
O  0.355  0.543  0.674
O  0.355  0.957  0.674
O  0.645  0.043  0.326
O  0.645  0.457  0.326
O  0.717  0.250  0.099
O  0.737  0.250  0.628
O  0.763  0.750  0.128
O  0.783  0.750  0.599
O  0.855  0.543  0.826
O  0.855  0.957  0.826

Largest 8 diffraction maxima, in order of falling intensity, 5 to 70 degrees two-theta:
| Position (°2θ) | I/Imax |
| --- | --- |
| 30.06 | 100.0 |
| 18.08 | 88.6 |
| 29.07 | 72.2 |
| 29.66 | 63.2 |
| 23.81 | 46.6 |
| 16.43 | 31.9 |
| 47.15 | 25.7 |
| 33.40 | 24.9 |